Record 1
# PmAl3Ir
Theoretical powder XRD pattern, Cu Kα X-rays. Input: a crystal structure in Alexandria, relaxed with GGA-PBE.
Intensities are scaled so that the largest is 100.

a = 8.440 Å, b = 4.221 Å, c = 11.001 Å
α = 90.00°, β = 90.00°, γ = 90.00°
Sites, in units of the cell vectors:
Pm 0.194 0.250 0.018
Pm 0.306 0.750 0.518
Pm 0.694 0.250 0.482
Pm 0.806 0.750 0.982
Al 0.052 0.250 0.583
Al 0.112 0.750 0.787
Al 0.149 0.750 0.224
Al 0.351 0.250 0.724
Al 0.388 0.250 0.287
Al 0.448 0.750 0.083
Al 0.552 0.250 0.917
Al 0.612 0.750 0.713
Al 0.649 0.750 0.276
Al 0.851 0.250 0.776
Al 0.888 0.250 0.213
Al 0.948 0.750 0.417
Ir 0.109 0.250 0.354
Ir 0.391 0.750 0.854
Ir 0.609 0.250 0.146
Ir 0.891 0.750 0.646

Largest 6 diffraction maxima, by angle, 2θ = 5–70°:
2θ (°)	d (Å)	I/Imax
22.6	3.941	80
26.5	3.363	31
29.9	2.984	53
34.1	2.629	100
39.3	2.290	34
42.9	2.110	35

=====

Record 2
# AlGaCoOs
Theoretical powder XRD pattern, Cu Kα X-rays. Input: a crystal structure in Alexandria, relaxed with GGA-PBE.
Intensities are scaled so that the largest is 100.

a = 4.191 Å, b = 4.191 Å, c = 4.191 Å
α = 60.00°, β = 60.00°, γ = 60.00°
Sites, in units of the cell vectors:
Al 0.000 0.000 0.000
Ga 0.500 0.500 0.500
Co 0.250 0.250 0.250
Os 0.750 0.750 0.750

Largest 6 diffraction maxima, by angle, 2θ = 5–70°:
2θ (°)	d (Å)	I/Imax
26.0	3.422	36
30.2	2.963	24
43.2	2.095	100
51.1	1.787	18
62.7	1.482	16
69.1	1.360	8

=====

Record 3
# NiH16C4S4N8Cl2
Theoretical powder XRD pattern, Cu Kα X-rays. Input: a crystal structure in Alexandria, relaxed with GGA-PBE.
Intensities are scaled so that the largest is 100.

a = 8.301 Å, b = 8.301 Å, c = 8.301 Å
α = 108.38°, β = 108.38°, γ = 111.68°
Sites, in units of the cell vectors:
Ni 0.000 0.000 0.000
H 0.018 0.028 0.570
H 0.028 0.458 0.010
H 0.163 0.372 0.769
H 0.184 0.527 0.664
H 0.372 0.603 0.208
H 0.395 0.163 0.792
H 0.448 0.018 0.990
H 0.458 0.448 0.430
H 0.520 0.184 0.657
H 0.527 0.863 0.343
H 0.603 0.395 0.231
H 0.616 0.628 0.677
H 0.628 0.951 0.012
H 0.863 0.520 0.336
H 0.938 0.616 0.988
H 0.951 0.938 0.323
C 0.074 0.237 0.476
C 0.237 0.761 0.163
C 0.598 0.074 0.837
C 0.761 0.598 0.524
S 0.067 0.278 0.284
S 0.278 0.994 0.211
S 0.783 0.067 0.789
S 0.994 0.783 0.716
N 0.012 0.056 0.457
N 0.056 0.598 0.043
N 0.145 0.390 0.649
N 0.390 0.741 0.245
N 0.496 0.145 0.755
N 0.555 0.012 0.957
N 0.598 0.555 0.543
N 0.741 0.496 0.351
Cl 0.274 0.274 0.000
Cl 0.739 0.739 0.000

Largest 6 diffraction maxima, by angle, 2θ = 5–70°:
2θ (°)	d (Å)	I/Imax
12.9	6.869	57
13.2	6.726	100
22.6	3.938	45
29.1	3.072	38
32.4	2.765	35
37.0	2.429	26